Starting from a structure optimized by DFT (GGA-PBE), the powder X-ray diffraction pattern of Mn4CrCo2 was calculated for Cu Kα (λ = 1.5418 Å).

Largest 10 diffraction maxima, in order of rising 2θ, 2θ from 10° to 90°:
(1 1 3), 2θ = 39.50°, rel. 40; (1 3 1), 2θ = 39.80°, rel. 49; (2 0 0), 2θ = 40.39°, rel. 25; (0 0 4), 2θ = 43.06°, rel. 65; (0 4 0), 2θ = 43.63°, rel. 59; (2 0 2), 2θ = 46.02°, rel. 44; (2 2 0), 2θ = 46.16°, rel. 34; (1 3 3), 2θ = 50.69°, rel. 100; (2 2 2), 2θ = 51.29°, rel. 90; (2 0 6), 2θ = 81.01°, rel. 42

abc: 4.467 8.299 8.402
angles: 90.00 90.00 90.00
Space group Fmmm (No. 69)
Symmetry-distinct sites (fractional):
Mn  0.000  0.000  0.196 [8 per cell]
Mn  0.250  0.250  0.250 [8 per cell]
Cr  0.000  0.000  0.500 [4 per cell]
Co  0.000  0.197  0.000 [8 per cell]


Starting from a structure optimized by DFT (GGA-PBE), the powder X-ray diffraction pattern of NdThGe2 was calculated for Cu Kα (λ = 1.5418 Å).

Largest 10 diffraction maxima, in order of rising 2θ, 2θ from 10° to 90°:
(1 1 1), 2θ = 28.25°, rel. 89; (1 0 2), 2θ = 30.65°, rel. 100; (0 2 1), 2θ = 31.80°, rel. 100; (1 1 2), 2θ = 34.18°, rel. 91; (0 1 3), 2θ = 36.29°, rel. 51; (1 2 1), 2θ = 38.58°, rel. 79; (2 0 0), 2θ = 43.33°, rel. 42; (0 1 4), 2θ = 47.09°, rel. 31; (2 2 1), 2θ = 54.74°, rel. 44; (2 1 3), 2θ = 57.76°, rel. 27

abc: 4.176 5.996 8.153
angles: 90.00 90.00 90.00
Space group Pmc2_1 (No. 26)
Symmetry-distinct sites (fractional):
Nd  0.000  0.125  0.000 [2 per cell]
Th  0.500  0.374  0.364 [2 per cell]
Ge  0.000  0.396  0.641 [2 per cell]
Ge  0.500  0.109  0.723 [2 per cell]


Starting from a structure optimized by DFT (GGA-PBE), the powder X-ray diffraction pattern of Ca2SbBr was calculated for Cu Kα (λ = 1.5418 Å).

Largest 10 diffraction maxima, in order of rising 2θ, 2θ from 10° to 90°:
(2 0 -2), 2θ = 24.24°, rel. 50; (0 0 2), 2θ = 27.49°, rel. 54; (2 4 -1), 2θ = 28.35°, rel. 100; (2 4 1), 2θ = 39.87°, rel. 40; (2 4 -3), 2θ = 39.93°, rel. 37; (4 0 -2), 2θ = 40.52°, rel. 36; (4 4 -3), 2θ = 47.78°, rel. 16; (4 0 0), 2θ = 49.65°, rel. 29; (2 4 3), 2θ = 64.64°, rel. 16; (6 4 -1), 2θ = 73.27°, rel. 16

abc: 8.904 17.813 7.861
angles: 90.00 124.37 90.00
Space group C2/c (No. 15)
Symmetry-distinct sites (fractional):
Ca  0.238  0.062  0.225 [8 per cell]
Ca  0.243  0.187  0.774 [8 per cell]
Sb  0.000  0.058  0.750 [4 per cell]
Sb  0.000  0.318  0.750 [4 per cell]
Br  0.000  0.195  0.250 [4 per cell]
Br  0.000  0.430  0.250 [4 per cell]